Diffraction record for Ca6Mg7. The powder diffractogram is simulated, not measured: it uses a PBE-relaxed structure and a wavelength of 1.5418 Å.

Structural model:
Cell: 6.3385 6.3385 34.5917 Å, 90.00 90.00 120.00°
Space group R-3m (No. 166, hexagonal axes)
One atom of each set of equivalent atoms:
Ca 0.0000 0.0000 0.0508 [6 per cell]
Ca 0.0000 0.0000 0.1528 [6 per cell]
Ca 0.0000 0.0000 0.3329 [6 per cell]
Mg 0.0000 0.0000 0.5000 [3 per cell]
Mg 0.0015 0.5007 0.9073 [18 per cell]

Largest 12 diffraction maxima, low angle first, 15 to 90 degrees two-theta:
two_theta	I/Imax	index
28.2	87	1 1 0
30.5	70	1 0 10
32.2	95	1 1 6
32.8	100	0 1 11
34.3	25	0 2 4
35.2	41	2 0 5
36.8	19	1 1 9
51.4	28	2 1 10
52.5	22	0 3 6
52.9	28	1 2 11
56.0	18	1 1 18
58.2	35	2 2 0